Calculated powder XRD pattern
Compound: Li4Mn3Ni3Sn2O16
Radiation: Cu Kα X-rays
Structure: a PBE+U-relaxed structure

Crystal structure
```
data_Li4Mn3Ni3Sn2O16
_chemical_formula_sum 'Li8 Mn6 Ni6 Sn4 O32'
_cell_length_a 10.319
_cell_length_b 5.810
_cell_length_c 9.659
_cell_angle_alpha 90.00
_cell_angle_beta 91.93
_cell_angle_gamma 90.00
_symmetry_space_group_name_H-M 'C 1 m 1'
_symmetry_Int_Tables_number 8
loop_
_symmetry_equiv_pos_as_xyz
'x,y,z'
'x,-y,z'
'x+1/2,y+1/2,z'
'x+1/2,-y+1/2,z'
loop_
_atom_site_label
_atom_site_type_symbol
_atom_site_fract_x
_atom_site_fract_y
_atom_site_fract_z
Li1 Li 0.000 0.000 0.000
Li2 Li 0.005 0.000 0.503
Li3 Li 0.171 0.500 0.104
Li4 Li 0.341 0.000 0.605
Mn1 Mn 0.332 0.500 0.779
Mn2 Mn 0.417 0.247 0.280
Ni1 Ni 0.087 0.253 0.781
Ni2 Ni 0.172 0.000 0.280
Sn1 Sn 0.167 0.500 0.505
Sn2 Sn 0.330 0.000 0.002
O1 O 0.000 0.000 0.691
O2 O 0.023 0.500 0.663
O3 O 0.077 0.242 0.396
O4 O 0.154 0.000 0.896
O5 O 0.171 0.500 0.880
O6 O 0.253 0.278 0.656
O7 O 0.268 0.231 0.157
O8 O 0.343 0.500 0.390
O9 O 0.347 0.000 0.386
O10 O 0.414 0.262 0.895
O11 O 0.486 0.000 0.165
O12 O 0.493 0.500 0.187
```

Largest 12 diffraction maxima, sorted by position, 5° ≤ 2θ ≤ 70°:
Position (°2θ)  d/Å  I (rel.)
18.38  4.827  38
19.24  4.613  47
19.67  4.514  92
19.79  4.486  45
19.94  4.453  88
25.71  3.465  39
32.73  2.736  39
33.26  2.694  55
35.11  2.556  53
36.07  2.490  100
60.85  1.522  44
62.82  1.479  49

Calculated powder XRD pattern
Compound: TiFeO3
Radiation: Cu Kα X-rays
Structure: a PBE+U-relaxed structure

Crystal structure
```
data_TiFeO3
_chemical_formula_sum 'Ti2 Fe2 O6'
_cell_length_a 5.131
_cell_length_b 5.139
_cell_length_c 5.554
_cell_angle_alpha 91.59
_cell_angle_beta 115.58
_cell_angle_gamma 119.41
_symmetry_space_group_name_H-M 'P -1'
_symmetry_Int_Tables_number 2
loop_
_symmetry_equiv_pos_as_xyz
'x,y,z'
'-x,-y,-z'
loop_
_atom_site_label
_atom_site_type_symbol
_atom_site_fract_x
_atom_site_fract_y
_atom_site_fract_z
Ti1 Ti 0.211 0.356 0.064
Fe1 Fe 0.209 0.853 0.565
O1 O 0.010 0.066 0.234
O2 O 0.276 0.719 0.239
O3 O 0.338 0.551 0.771
```

Largest 12 diffraction maxima, sorted by position, 5° ≤ 2θ ≤ 70°:
Position (°2θ)  d/Å  I (rel.)
31.56  2.835  80
32.15  2.784  75
32.51  2.754  69
34.63  2.590  55
34.96  2.566  100
39.39  2.287  31
47.34  1.920  29
47.76  1.904  29
49.16  1.853  27
51.32  1.780  25
62.21  1.492  25
62.35  1.489  24

Calculated powder XRD pattern
Compound: VCrO3
Radiation: Cu Kα X-rays
Structure: a PBE+U-relaxed structure

Crystal structure
```
data_VCrO3
_chemical_formula_sum 'V4 Cr4 O12'
_cell_length_a 5.134
_cell_length_b 5.493
_cell_length_c 7.494
_cell_angle_alpha 95.50
_cell_angle_beta 90.02
_cell_angle_gamma 90.11
_symmetry_space_group_name_H-M 'P 1'
_symmetry_Int_Tables_number 1
loop_
_symmetry_equiv_pos_as_xyz
'x,y,z'
loop_
_atom_site_label
_atom_site_type_symbol
_atom_site_fract_x
_atom_site_fract_y
_atom_site_fract_z
V1 V 0.000 0.000 0.000
V2 V 0.000 0.001 0.499
V3 V 0.002 0.405 0.794
V4 V 0.501 0.500 0.495
Cr1 Cr 0.499 0.903 0.798
Cr2 Cr 0.500 0.503 0.995
Cr3 Cr 0.500 0.902 0.296
Cr4 Cr 0.999 0.403 0.294
O1 O 0.148 0.358 0.546
O2 O 0.155 0.053 0.245
O3 O 0.198 0.702 0.895
O4 O 0.305 0.201 0.896
O5 O 0.347 0.553 0.243
O6 O 0.351 0.858 0.548
O7 O 0.649 0.852 0.049
O8 O 0.650 0.553 0.744
O9 O 0.697 0.202 0.393
O10 O 0.805 0.703 0.393
O11 O 0.846 0.050 0.746
O12 O 0.848 0.357 0.047
```

Largest 12 diffraction maxima, sorted by position, 5° ≤ 2θ ≤ 70°:
Position (°2θ)  d/Å  I (rel.)
23.77  3.743  35
23.86  3.730  17
32.76  2.733  100
35.00  2.564  56
35.08  2.558  28
40.19  2.244  14
40.29  2.238  14
48.66  1.871  28
53.31  1.718  38
53.42  1.715  38
61.45  1.509  23
62.76  1.481  27

Calculated powder XRD pattern
Compound: MgMn4Zn2O8
Radiation: Cu Kα X-rays
Structure: a PBE+U-relaxed structure

Crystal structure
```
data_MgMn4Zn2O8
_chemical_formula_sum 'Mg1 Mn4 Zn2 O8'
_cell_length_a 2.999
_cell_length_b 8.043
_cell_length_c 8.310
_cell_angle_alpha 81.96
_cell_angle_beta 82.44
_cell_angle_gamma 88.36
_symmetry_space_group_name_H-M 'P -1'
_symmetry_Int_Tables_number 2
loop_
_symmetry_equiv_pos_as_xyz
'x,y,z'
'-x,-y,-z'
loop_
_atom_site_label
_atom_site_type_symbol
_atom_site_fract_x
_atom_site_fract_y
_atom_site_fract_z
Mg1 Mg 0.000 0.000 0.000
Mn1 Mn 0.319 0.971 0.335
Mn2 Mn 0.322 0.343 0.881
Zn1 Zn 0.320 0.696 0.777
O1 O 0.131 0.148 0.758
O2 O 0.170 0.475 0.178
O3 O 0.220 0.884 0.602
O4 O 0.472 0.156 0.068
```

Largest 12 diffraction maxima, sorted by position, 5° ≤ 2θ ≤ 70°:
Position (°2θ)  d/Å  I (rel.)
10.84  8.160  77
11.11  7.963  30
14.44  6.136  100
21.78  4.080  50
26.22  3.399  20
33.32  2.689  82
33.77  2.654  30
34.92  2.569  61
39.82  2.264  39
41.23  2.190  30
42.76  2.115  48
46.85  1.939  40

Calculated powder XRD pattern
Compound: KMg14FeO16
Radiation: Cu Kα X-rays
Structure: a PBE+U-relaxed structure

Crystal structure
```
data_KMg14FeO16
_chemical_formula_sum 'K1 Mg14 Fe1 O16'
_cell_length_a 4.393
_cell_length_b 8.591
_cell_length_c 8.632
_cell_angle_alpha 90.00
_cell_angle_beta 90.00
_cell_angle_gamma 90.00
_symmetry_space_group_name_H-M 'P m m m'
_symmetry_Int_Tables_number 47
loop_
_symmetry_equiv_pos_as_xyz
'x,y,z'
'-x,-y,-z'
'-x,-y,z'
'x,y,-z'
'x,-y,-z'
'-x,y,z'
'-x,y,-z'
'x,-y,z'
loop_
_atom_site_label
_atom_site_type_symbol
_atom_site_fract_x
_atom_site_fract_y
_atom_site_fract_z
K1 K 0.000 0.000 0.000
Mg1 Mg 0.000 0.000 0.500
Mg2 Mg 0.000 0.247 0.256
Mg3 Mg 0.000 0.500 0.500
Mg4 Mg 0.500 0.000 0.252
Mg5 Mg 0.500 0.246 0.000
Mg6 Mg 0.500 0.248 0.500
Mg7 Mg 0.500 0.500 0.253
Fe1 Fe 0.000 0.500 0.000
O1 O 0.000 0.000 0.275
O2 O 0.000 0.258 0.500
O3 O 0.000 0.278 0.000
O4 O 0.000 0.500 0.248
O5 O 0.500 0.000 0.000
O6 O 0.500 0.000 0.500
O7 O 0.500 0.252 0.249
O8 O 0.500 0.500 0.000
O9 O 0.500 0.500 0.500
```

Largest 12 diffraction maxima, sorted by position, 5° ≤ 2θ ≤ 70°:
Position (°2θ)  d/Å  I (rel.)
10.26  8.621  12
20.63  4.306  7
23.12  3.848  5
29.04  3.075  5
30.89  2.895  6
35.89  2.502  46
41.10  2.196  100
41.86  2.158  92
42.07  2.148  90
60.11  1.539  54
60.27  1.536  53
60.85  1.522  51

Calculated powder XRD pattern
Compound: Li2Mn3F8
Radiation: Cu Kα X-rays
Structure: a PBE+U-relaxed structure

Crystal structure
```
data_Li2Mn3F8
_chemical_formula_sum 'Li8 Mn12 F32'
_cell_length_a 6.497
_cell_length_b 12.160
_cell_length_c 8.793
_cell_angle_alpha 90.00
_cell_angle_beta 90.00
_cell_angle_gamma 90.00
_symmetry_space_group_name_H-M 'C m c e'
_symmetry_Int_Tables_number 64
_symmetry_space_group_name_Hall '-C 2ac 2'
loop_
_atom_site_label
_atom_site_type_symbol
_atom_site_fract_x
_atom_site_fract_y
_atom_site_fract_z
Li1 Li 0.000 0.116 0.108
Mn1 Mn 0.000 0.000 0.500
Mn2 Mn 0.250 0.147 0.750
F1 F 0.000 0.016 0.746
F2 F 0.000 0.244 0.232
F3 F 0.249 0.115 0.986
```

Largest 12 diffraction maxima, sorted by position, 5° ≤ 2θ ≤ 70°:
Position (°2θ)  d/Å  I (rel.)
17.74  5.001  100
18.48  4.801  35
24.99  3.563  32
27.86  3.203  20
32.88  2.724  43
33.95  2.640  15
40.65  2.220  72
41.06  2.198  39
54.33  1.688  14
56.67  1.624  15
57.56  1.601  18
59.15  1.562  43

Calculated powder XRD pattern
Compound: LiCoPO4
Radiation: Cu Kα X-rays
Structure: a PBE+U-relaxed structure

Crystal structure
```
data_LiCoPO4
_chemical_formula_sum 'Li4 Co4 P4 O16'
_cell_length_a 5.139
_cell_length_b 6.077
_cell_length_c 10.357
_cell_angle_alpha 90.00
_cell_angle_beta 113.46
_cell_angle_gamma 90.00
_symmetry_space_group_name_H-M 'P 1 21/c 1'
_symmetry_Int_Tables_number 14
loop_
_symmetry_equiv_pos_as_xyz
'x,y,z'
'-x,-y,-z'
'-x,y+1/2,-z+1/2'
'x,-y+1/2,z+1/2'
loop_
_atom_site_label
_atom_site_type_symbol
_atom_site_fract_x
_atom_site_fract_y
_atom_site_fract_z
Li1 Li 0.087 0.139 0.428
Co1 Co 0.454 0.612 0.658
P1 P 0.106 0.649 0.363
O1 O 0.194 0.666 0.975
O2 O 0.222 0.139 0.221
O3 O 0.229 0.066 0.947
O4 O 0.249 0.665 0.255
```

Largest 12 diffraction maxima, sorted by position, 5° ≤ 2θ ≤ 70°:
Position (°2θ)  d/Å  I (rel.)
17.32  5.119  100
18.68  4.751  20
23.89  3.725  28
25.32  3.517  53
31.86  2.809  52
34.34  2.612  39
34.97  2.566  29
35.12  2.555  32
38.42  2.343  37
40.34  2.236  19
50.51  1.807  18
53.54  1.712  22

Calculated powder XRD pattern
Compound: NaSmMnWO6
Radiation: Cu Kα X-rays
Structure: a PBE+U-relaxed structure

Crystal structure
```
data_NaSmMnWO6
_chemical_formula_sum 'Na4 Sm4 Mn4 W4 O24'
_cell_length_a 8.030
_cell_length_b 8.030
_cell_length_c 8.030
_cell_angle_alpha 90.00
_cell_angle_beta 90.00
_cell_angle_gamma 90.00
_symmetry_space_group_name_H-M 'F -4 3 m'
_symmetry_Int_Tables_number 216
_symmetry_space_group_name_Hall 'F -4 2 3'
loop_
_atom_site_label
_atom_site_type_symbol
_atom_site_fract_x
_atom_site_fract_y
_atom_site_fract_z
Na1 Na 0.000 0.000 0.000
Sm1 Sm 0.000 0.000 0.500
Mn1 Mn 0.250 0.250 0.750
W1 W 0.250 0.250 0.250
O1 O 0.010 0.250 0.250
```

Largest 11 diffraction maxima, sorted by position, 5° ≤ 2θ ≤ 70°:
Position (°2θ)  d/Å  I (rel.)
19.14  4.636  51
22.14  4.015  8
31.51  2.839  100
37.13  2.421  28
45.17  2.008  33
49.48  1.842  12
50.85  1.796  3
56.11  1.639  40
59.85  1.545  10
65.79  1.420  20
69.22  1.357  10